# 1
SrTm2SbN4: simulated X-ray diffraction stick pattern (Cu Kα, 1.54184 Å), based on a cell relaxed with GGA-PBE.
Neutral-atom scattering factors, no anomalous dispersion.

Cell and atoms:
Unit cell a=6.2322 b=6.2322 c=11.8927 alpha=90.00 beta=90.00 gamma=146.05
Atoms (fractional coordinates):
Sr 0.1053 0.8947 0.7500
Sr 0.8947 0.1053 0.2500
Tm 0.3719 0.6281 0.5337
Tm 0.3719 0.6281 0.9663
Tm 0.6281 0.3719 0.0337
Tm 0.6281 0.3719 0.4663
Sb 0.1567 0.8433 0.2500
Sb 0.8433 0.1567 0.7500
N 0.0000 0.0000 0.0000
N 0.0000 0.0000 0.5000
N 0.2615 0.7385 0.1158
N 0.2615 0.7385 0.3842
N 0.4278 0.5722 0.7500
N 0.5722 0.4278 0.2500
N 0.7385 0.2615 0.6158
N 0.7385 0.2615 0.8842

Main lines, sorted by position (2θ from 5° to 70°):
16.6 deg, intensity 22.0; 29.7 deg, intensity 100.0; 30.0 deg, intensity 93.7; 34.3 deg, intensity 29.7; 36.7 deg, intensity 88.0; 40.8 deg, intensity 22.4; 43.0 deg, intensity 28.1; 50.1 deg, intensity 19.8; 51.3 deg, intensity 30.6; 59.6 deg, intensity 27.4

# 2
Th4ZnAu3: simulated X-ray diffraction stick pattern (Cu Kα, 1.54184 Å), based on a cell relaxed with GGA-PBE.
Neutral-atom scattering factors, no anomalous dispersion.

Cell and atoms:
Unit cell a=3.8146 b=4.5376 c=11.9737 alpha=90.00 beta=90.00 gamma=90.00
Atoms (fractional coordinates):
Th 0.0000 0.0000 0.0000
Th 0.0000 0.5000 0.3037
Th 0.5000 0.0000 0.4984
Th 0.5000 0.5000 0.8038
Zn 0.5000 0.0000 0.2236
Au 0.0000 0.0000 0.7270
Au 0.0000 0.5000 0.5752
Au 0.5000 0.5000 0.0864

Main lines, sorted by position (2θ from 5° to 70°):
29.8 deg, intensity 21.4; 31.5 deg, intensity 100.0; 32.5 deg, intensity 44.2; 35.9 deg, intensity 49.0; 38.2 deg, intensity 46.1; 39.7 deg, intensity 31.2; 47.7 deg, intensity 18.7; 52.2 deg, intensity 23.9; 59.2 deg, intensity 17.5; 61.1 deg, intensity 21.5

# 3
AlNiAgSe: simulated X-ray diffraction stick pattern (Cu Kα, 1.54184 Å), based on a cell relaxed with GGA-PBE.
Neutral-atom scattering factors, no anomalous dispersion.

Cell and atoms:
Unit cell a=3.9747 b=3.9747 c=5.1216 alpha=90.00 beta=90.00 gamma=120.00
Atoms (fractional coordinates):
Al 0.0000 0.0000 0.0000
Ni 0.0000 0.0000 0.5216
Ag 0.3333 0.6667 0.2554
Se 0.6667 0.3333 0.6739

Main lines, sorted by position (2θ from 5° to 70°):
17.3 deg, intensity 18.4; 31.3 deg, intensity 100.0; 35.0 deg, intensity 4.6; 44.1 deg, intensity 50.1; 45.6 deg, intensity 50.8; 49.2 deg, intensity 7.1; 56.4 deg, intensity 17.7; 58.8 deg, intensity 6.0; 60.5 deg, intensity 11.1; 65.3 deg, intensity 14.7

# 4
Fe3Rh2: simulated X-ray diffraction stick pattern (Cu Kα, 1.54184 Å), based on a cell relaxed with GGA-PBE.
Neutral-atom scattering factors, no anomalous dispersion.

Cell and atoms:
Unit cell a=6.8418 b=4.9582 c=7.7222 alpha=60.76 beta=39.22 gamma=80.02
Atoms (fractional coordinates):
Fe 0.0000 0.0000 0.0000
Fe 0.2500 0.2500 0.2500
Fe 0.4005 0.5976 0.4002
Fe 0.5976 0.4005 0.6017
Fe 0.6483 0.8498 0.6524
Fe 0.8498 0.6483 0.8495
Rh 0.0494 0.4472 0.0545
Rh 0.1955 0.8011 0.2006
Rh 0.4472 0.0494 0.4489
Rh 0.8011 0.1955 0.8028

Main lines, sorted by position (2θ from 5° to 70°):
24.9 deg, intensity 13.2; 29.7 deg, intensity 10.5; 39.8 deg, intensity 3.9; 41.2 deg, intensity 100.0; 41.8 deg, intensity 48.2; 42.2 deg, intensity 4.2; 42.7 deg, intensity 90.0; 51.3 deg, intensity 51.4; 68.2 deg, intensity 20.8; 69.6 deg, intensity 19.5

Number 3 is which compound? AlNiAgSe